Structure and calculated X-ray powder pattern of TbSi2Ni5Rh (a DFT-relaxed cell (PBE, Alexandria); Cu Ka).
Neutral-atom scattering factors, no anomalous dispersion.

The 8 most intense peaks (5° ≤ 2θ ≤ 70°), in order of rising 2θ:
hkl 0 0 1, 9.006 Å, 9.8 deg, I = 17
hkl 1 0 0, 3.675 Å, 24.2 deg, I = 9
hkl 1 0 2, 2.847 Å, 31.4 deg, I = 19
hkl 1 1 2, 2.251 Å, 40.1 deg, I = 100
hkl 1 1 3, 1.965 Å, 46.2 deg, I = 10
hkl 1 0 4, 1.920 Å, 47.4 deg, I = 10
hkl 2 0 0, 1.838 Å, 49.6 deg, I = 27
hkl 2 0 4, 1.424 Å, 65.6 deg, I = 14

Cell and atoms:
Lattice parameters (Å, degrees): 3.675 3.675 9.006 90.00 90.00 90.00
Space group P4/mmm (No. 123)
Inequivalent atoms, fractional coordinates:
Tb 0.000 0.000 0.000 x1
Si 0.500 0.500 0.373 x2
Ni 0.000 0.500 0.233 x4
Ni 0.500 0.500 0.000 x1
Rh 0.000 0.000 0.500 x1